This entry pairs a crystal structure of Mg2V2Br2O5 with its simulated powder diffraction line list. Radiation: Cu Ka. Structure: a crystal structure in Alexandria, relaxed with PBE+U.
Neutral-atom scattering factors, no anomalous dispersion.

Largest 10 diffraction maxima, in order of rising 2θ, 10° ≤ 2θ ≤ 80°:
2θ (°), Rel. int., (hkl)
13.40, 55.0, 0 0 4
24.04, 100.0, 1 0 1
26.99, 44.6, 0 0 8
29.26, 59.7, 1 0 5
33.74, 48.3, 1 0 7
33.91, 74.9, 1 1 0
39.00, 50.8, 1 0 9
44.84, 41.1, 1 0 11
48.71, 53.0, 2 0 0
66.77, 28.7, 1 1 16

Structure:
Cell lengths 3.739, 3.739, 26.430 Å; angles 90.00, 90.00, 90.00 degrees
Space group I4/mmm (No. 139)
Symmetry-distinct sites (fractional):
Mg 0.000 0.000 0.127 (multiplicity 4)
V 0.000 0.000 0.433 (multiplicity 4)
Br 0.000 0.000 0.317 (multiplicity 4)
O 0.000 0.000 0.500 (multiplicity 2)
O 0.000 0.500 0.085 (multiplicity 8)